Simulated PXRD pattern
Compound: AlVF5
Radiation: Cu Kα (weighted mean of Kα1 and Kα2)
Structure: a DFT-relaxed cell (PBE+U, Alexandria)
Peak positions follow from Bragg's law for the DFT cell and can differ from measured ones.

Largest 6 diffraction maxima, in order of falling intensity, 2θ = 15–90°:
| 2theta | d (Å) | I (rel.) | index |
| --- | --- | --- | --- |
| 23.09 | 3.853 | 100 | 0 0 2 |
| 28.57 | 3.125 | 87 | 1 1 0 |
| 28.23 | 3.161 | 65 | 0 2 0 |
| 39.73 | 2.269 | 46 | 1 2 1 |
| 47.18 | 1.926 | 37 | 0 0 4 |
| 50.18 | 1.818 | 33 | 1 3 0 |

```
data_AlVF5
_cell_length_a 3.594
_cell_length_b 6.322
_cell_length_c 7.705
_cell_angle_alpha 90.00
_cell_angle_beta 90.00
_cell_angle_gamma 90.00
_symmetry_space_group_name_H-M 'I m m m'
_symmetry_Int_Tables_number 71
_symmetry_space_group_name_Hall '-I 2 2'
loop_
_atom_site_label
_atom_site_fract_x
_atom_site_fract_y
_atom_site_fract_z
_atom_site_occupancy
Al1 0.000 0.000 0.000 1
V1 0.000 0.000 0.500 1
F1 0.000 0.000 0.232 1
F2 0.000 0.295 0.000 1
F3 0.000 0.500 0.500 1
```